Entry 1:
# LaSmIn4
Simulated powder diffractogram, λ = 1.5418 Å (Cu Kα). Input: the GGA-PBE geometry in Alexandria.

Peak list (12 most intense, 2θ = 10–80°, sorted by position)
- 2θ 29.4, I = 53
- 2θ 30.6, I = 34
- 2θ 31.7, I = 100
- 2θ 34.8, I = 60
- 2θ 36.9, I = 24
- 2θ 37.7, I = 39
- 2θ 42.4, I = 13
- 2θ 49.3, I = 18
- 2θ 53.7, I = 16
- 2θ 57.5, I = 25
- 2θ 64.3, I = 13
- 2θ 68.0, I = 18

Structural model:
```
LaSmIn4
1.0
-2.388 3.791 4.601
2.388 -3.791 4.601
2.388 3.791 -4.601
La Sm In
1 1 4
Cartesian
0.000 0.000 0.000
0.000 3.791 1.072
2.388 -1.556 1.972
2.388 2.270 -0.960
2.388 1.556 1.972
0.000 1.521 3.641
```

=====

Entry 2:
# La8Ir2Pt
Simulated powder diffractogram, λ = 1.5418 Å (Cu Kα). Input: the GGA-PBE geometry in Alexandria.

Peak list (12 most intense, 2θ = 10–80°, sorted by position)
- 2θ 14.1, I = 41
- 2θ 16.3, I = 21
- 2θ 29.4, I = 100
- 2θ 31.2, I = 32
- 2θ 31.7, I = 57
- 2θ 32.3, I = 51
- 2θ 32.9, I = 39
- 2θ 35.7, I = 30
- 2θ 36.8, I = 23
- 2θ 38.0, I = 74
- 2θ 39.5, I = 30
- 2θ 50.3, I = 23

Structural model:
```
La8Ir2Pt
1.0
4.280 -6.433 0.000
4.280 6.433 0.000
-2.186 0.000 6.277
La Ir Pt
8 2 1
Cartesian
0.000 0.000 0.000
-0.071 1.741 3.680
2.680 2.623 1.329
-0.071 -1.741 3.680
3.104 1.762 5.257
2.680 -2.623 1.329
5.191 0.000 2.553
3.104 -1.762 5.257
1.506 4.061 4.390
1.506 -4.061 4.390
0.803 0.000 6.224
```

=====

Entry 3:
# V2B2Pt
Simulated powder diffractogram, λ = 1.5418 Å (Cu Kα). Input: the GGA-PBE geometry in Alexandria.

Peak list (12 most intense, 2θ = 10–80°, sorted by position)
- 2θ 22.9, I = 70
- 2θ 32.6, I = 29
- 2θ 34.4, I = 100
- 2θ 41.7, I = 72
- 2θ 45.0, I = 15
- 2θ 46.8, I = 21
- 2θ 52.0, I = 16
- 2θ 52.7, I = 41
- 2θ 53.9, I = 19
- 2θ 59.4, I = 21
- 2θ 77.2, I = 27
- 2θ 78.8, I = 16

Structural model:
```
V2B2Pt
1.0
5.490 0.000 0.000
0.000 5.490 0.000
0.000 0.000 3.520
V B Pt
4 4 2
Cartesian
0.873 1.872 0.000
1.872 4.617 0.000
3.618 0.873 0.000
4.617 3.618 0.000
0.628 3.373 1.760
2.117 0.628 1.760
3.373 4.862 1.760
4.862 2.117 1.760
0.000 0.000 1.760
2.745 2.745 1.760
```

=====

Entry 4:
# Pr3HoBi2
Simulated powder diffractogram, λ = 1.5418 Å (Cu Kα). Input: the GGA-PBE geometry in Alexandria.

Peak list (12 most intense, 2θ = 10–80°, sorted by position)
- 2θ 21.4, I = 16
- 2θ 27.0, I = 22
- 2θ 28.8, I = 74
- 2θ 29.7, I = 35
- 2θ 33.6, I = 100
- 2θ 35.5, I = 30
- 2θ 38.6, I = 58
- 2θ 49.4, I = 34
- 2θ 53.4, I = 19
- 2θ 55.7, I = 20
- 2θ 63.9, I = 16
- 2θ 66.7, I = 28

Structural model:
```
Pr3HoBi2
1.0
4.669 0.000 0.000
0.000 4.669 0.000
0.000 0.000 9.017
Pr Ho Bi
3 1 2
Cartesian
0.000 0.000 0.000
0.000 2.335 5.843
2.335 0.000 3.174
2.335 2.335 0.000
0.000 2.335 2.502
2.335 0.000 6.515
```

=====

Entry 5:
# KSn12
Simulated powder diffractogram, λ = 1.5418 Å (Cu Kα). Input: the GGA-PBE geometry in Alexandria.

Peak list (12 most intense, 2θ = 10–80°, sorted by position)
- 2θ 15.3, I = 100
- 2θ 21.7, I = 32
- 2θ 26.7, I = 78
- 2θ 30.9, I = 19
- 2θ 34.6, I = 28
- 2θ 38.1, I = 74
- 2θ 41.3, I = 49
- 2θ 44.3, I = 41
- 2θ 47.1, I = 19
- 2θ 57.4, I = 21
- 2θ 64.4, I = 28
- 2θ 77.3, I = 31

Structural model:
```
KSn12
1.0
8.187 0.000 0.000
0.000 8.187 0.000
0.000 0.000 8.187
K Sn
1 12
Cartesian
0.000 0.000 0.000
0.000 2.034 4.093
0.000 4.093 2.034
0.000 4.093 6.153
0.000 6.153 4.093
2.034 0.000 4.093
2.034 4.093 0.000
4.093 0.000 2.034
4.093 0.000 6.153
4.093 2.034 0.000
4.093 6.153 0.000
6.153 0.000 4.093
6.153 4.093 0.000
```

=====

Entry 6:
# La6Si2SeCl3
Simulated powder diffractogram, λ = 1.5418 Å (Cu Kα). Input: the GGA-PBE geometry in Alexandria.

Peak list (12 most intense, 2θ = 10–80°, sorted by position)
- 2θ 25.2, I = 42
- 2θ 25.8, I = 13
- 2θ 29.4, I = 100
- 2θ 41.7, I = 38
- 2θ 42.4, I = 35
- 2θ 49.4, I = 7
- 2θ 49.7, I = 13
- 2θ 51.8, I = 13
- 2θ 61.0, I = 12
- 2θ 68.6, I = 11
- 2θ 69.6, I = 10
- 2θ 76.5, I = 8

Structural model:
```
La6Si2SeCl3
1.0
9.322 -2.168 0.000
9.322 2.168 0.000
-1.784 0.000 8.340
La Si Se Cl
6 2 1 3
Cartesian
-0.341 0.000 2.069
5.378 0.000 3.551
4.618 0.000 7.535
12.242 0.000 0.805
11.482 0.000 4.789
17.201 0.000 6.270
2.495 0.000 2.761
14.365 0.000 5.578
9.322 0.000 0.000
1.638 0.000 6.959
8.430 0.000 4.170
15.223 0.000 1.380
```

=====

Entry 7:
# ZnCdBr2Cl
Simulated powder diffractogram, λ = 1.5418 Å (Cu Kα). Input: the GGA-PBE geometry in Alexandria.

Peak list (12 most intense, 2θ = 10–80°, sorted by position)
- 2θ 10.5, I = 78
- 2θ 18.5, I = 63
- 2θ 23.1, I = 72
- 2θ 23.8, I = 68
- 2θ 27.6, I = 57
- 2θ 30.7, I = 25
- 2θ 32.0, I = 28
- 2θ 35.9, I = 45
- 2θ 43.1, I = 28
- 2θ 43.5, I = 100
- 2θ 45.9, I = 27
- 2θ 69.7, I = 23

Structural model:
```
ZnCdBr2Cl
1.0
-1.974 2.505 8.416
1.974 -2.505 8.416
1.974 2.505 -8.416
Zn Cd Br Cl
1 1 2 1
Cartesian
0.000 0.000 0.000
0.000 0.000 14.144
1.974 0.000 1.475
1.974 0.000 7.191
0.000 2.505 4.152
```

=====

Entry 8:
# SrCrMo2
Simulated powder diffractogram, λ = 1.5418 Å (Cu Kα). Input: the GGA-PBE geometry in Alexandria.

Peak list (12 most intense, 2θ = 10–80°, sorted by position)
- 2θ 10.5, I = 27
- 2θ 31.6, I = 36
- 2θ 31.9, I = 30
- 2θ 36.7, I = 100
- 2θ 42.5, I = 58
- 2θ 44.2, I = 23
- 2θ 53.2, I = 22
- 2θ 54.1, I = 26
- 2θ 61.6, I = 18
- 2θ 63.4, I = 9
- 2θ 71.1, I = 12
- 2θ 73.9, I = 24

Structural model:
```
SrCrMo2
1.0
3.011 0.000 0.000
0.000 3.011 0.000
0.000 0.000 8.404
Sr Cr Mo
1 1 2
Cartesian
0.000 0.000 0.000
0.000 0.000 4.202
1.506 1.506 2.742
1.506 1.506 5.661
```

=====

Entry 9:
# PaIO3
Simulated powder diffractogram, λ = 1.5418 Å (Cu Kα). Input: the GGA-PBE geometry in Alexandria.

Peak list (12 most intense, 2θ = 10–80°, sorted by position)
- 2θ 13.2, I = 38
- 2θ 22.1, I = 73
- 2θ 23.0, I = 100
- 2θ 26.5, I = 47
- 2θ 28.4, I = 44
- 2θ 30.5, I = 26
- 2θ 31.5, I = 18
- 2θ 34.0, I = 20
- 2θ 34.3, I = 40
- 2θ 38.7, I = 16
- 2θ 41.3, I = 21
- 2θ 44.0, I = 24

Structural model:
```
PaIO3
1.0
6.020 0.000 0.000
0.000 5.672 0.000
-2.338 0.000 6.726
Pa I O
2 2 6
Cartesian
0.356 0.000 3.269
3.326 2.836 3.457
1.993 3.989 0.419
1.689 1.153 6.307
-0.974 1.582 3.065
0.500 5.038 1.177
1.655 4.151 3.845
2.028 1.315 2.881
3.183 2.202 5.548
4.656 4.418 3.661
```

=====

Entry 10:
# Nd2YIr9
Simulated powder diffractogram, λ = 1.5418 Å (Cu Kα). Input: the GGA-PBE geometry in Alexandria.

Peak list (12 most intense, 2θ = 10–80°, sorted by position)
- 2θ 19.4, I = 39
- 2θ 33.1, I = 15
- 2θ 33.5, I = 18
- 2θ 39.0, I = 31
- 2θ 39.3, I = 100
- 2θ 39.5, I = 14
- 2θ 40.6, I = 29
- 2θ 42.1, I = 24
- 2θ 42.6, I = 50
- 2θ 45.9, I = 25
- 2θ 63.8, I = 24
- 2θ 70.4, I = 28

Structural model:
```
Nd2YIr9
1.0
2.675 1.544 8.878
-2.675 1.544 8.878
0.000 -3.089 8.878
Nd Y Ir
2 1 9
Cartesian
0.000 0.000 3.710
0.000 0.000 22.924
0.000 0.000 0.000
-1.326 -0.765 11.023
0.000 0.000 8.848
0.000 -1.531 15.611
-1.326 0.765 15.611
0.000 0.000 13.317
1.326 -0.765 11.023
0.000 1.531 11.023
0.000 0.000 17.787
1.326 0.765 15.611
```

=====

Entry 11:
# CsSn6Te8
Simulated powder diffractogram, λ = 1.5418 Å (Cu Kα). Input: the GGA-PBE geometry in Alexandria.

Peak list (12 most intense, 2θ = 10–80°, sorted by position)
- 2θ 10.3, I = 69
- 2θ 17.0, I = 36
- 2θ 22.7, I = 61
- 2θ 23.7, I = 56
- 2θ 25.7, I = 45
- 2θ 26.1, I = 94
- 2θ 28.7, I = 40
- 2θ 32.5, I = 63
- 2θ 34.9, I = 100
- 2θ 36.9, I = 38
- 2θ 44.1, I = 53
- 2θ 45.0, I = 33

Structural model:
```
CsSn6Te8
1.0
5.910 3.412 5.221
-5.910 3.412 5.221
0.000 -6.825 5.221
Cs Sn Te
1 6 8
Cartesian
0.000 0.000 0.000
-2.386 -0.031 6.024
1.220 -2.051 6.024
-1.166 -2.082 9.640
1.166 2.082 6.024
-1.220 2.051 9.640
2.386 0.031 9.640
-1.616 -3.161 6.615
-3.545 -0.181 9.049
0.000 0.000 4.262
-1.929 2.980 6.615
1.929 -2.980 9.049
0.000 0.000 11.402
3.545 0.181 6.615
1.616 3.161 9.049
```

=====

Entry 12:
# Sm4AgSe5
Simulated powder diffractogram, λ = 1.5418 Å (Cu Kα). Input: the GGA-PBE geometry in Alexandria.

Peak list (12 most intense, 2θ = 10–80°, sorted by position)
- 2θ 26.1, I = 11
- 2θ 30.3, I = 100
- 2θ 43.2, I = 38
- 2θ 43.7, I = 36
- 2θ 51.4, I = 4
- 2θ 53.7, I = 20
- 2θ 54.6, I = 6
- 2θ 63.1, I = 12
- 2θ 71.3, I = 17
- 2θ 72.0, I = 16
- 2θ 79.2, I = 6
- 2θ 79.6, I = 12

Structural model:
```
Sm4AgSe5
1.0
2.094 1.209 16.823
-2.094 1.209 16.823
0.000 -2.418 16.823
Sm Ag Se
4 1 5
Cartesian
0.000 0.000 5.117
0.000 0.000 15.117
0.000 0.000 35.351
0.000 0.000 45.351
0.000 0.000 25.234
0.000 0.000 0.000
0.000 0.000 10.055
0.000 0.000 20.230
0.000 0.000 30.238
0.000 0.000 40.413
```

=====

Entry 13:
# K3Sc3CrSe8
Simulated powder diffractogram, λ = 1.5418 Å (Cu Kα). Input: the GGA-PBE geometry in Alexandria.

Peak list (12 most intense, 2θ = 10–80°, sorted by position)
- 2θ 11.2, I = 45
- 2θ 27.7, I = 15
- 2θ 30.7, I = 100
- 2θ 32.8, I = 10
- 2θ 34.1, I = 9
- 2θ 37.8, I = 23
- 2θ 40.7, I = 25
- 2θ 47.0, I = 23
- 2θ 47.1, I = 11
- 2θ 50.4, I = 15
- 2θ 57.3, I = 10
- 2θ 59.4, I = 10

Structural model:
```
K3Sc3CrSe8
1.0
6.694 -3.857 0.000
6.694 3.857 0.000
-4.472 0.000 7.893
K Sc Cr Se
3 3 1 8
Cartesian
0.000 0.000 0.000
3.347 1.929 0.000
3.347 -1.929 0.000
1.111 1.929 3.947
1.111 -1.929 3.947
4.458 0.000 3.947
-2.236 0.000 3.947
-0.102 0.000 5.427
3.390 2.012 5.427
5.527 2.012 2.466
2.228 0.000 2.392
6.688 0.000 5.501
3.390 -2.012 5.427
5.527 -2.012 2.466
9.018 0.000 2.466
```

=====

Entry 14:
# Np2Pa2Se2S5
Simulated powder diffractogram, λ = 1.5418 Å (Cu Kα). Input: the GGA-PBE geometry in Alexandria.

Peak list (12 most intense, 2θ = 10–80°, sorted by position)
- 2θ 14.2, I = 62
- 2θ 24.2, I = 100
- 2θ 24.8, I = 59
- 2θ 34.5, I = 67
- 2θ 36.8, I = 82
- 2θ 37.5, I = 23
- 2θ 42.9, I = 29
- 2θ 49.6, I = 24
- 2θ 51.3, I = 68
- 2θ 55.9, I = 22
- 2θ 63.3, I = 24
- 2θ 74.1, I = 26

Structural model:
```
Np2Pa2Se2S5
1.0
-2.601 2.601 12.439
2.601 -2.601 12.439
2.601 2.601 -12.439
Np Pa Se S
2 2 2 5
Cartesian
0.000 0.000 4.232
0.000 0.000 20.646
0.000 0.000 9.837
0.000 0.000 15.040
0.000 0.000 7.049
0.000 0.000 17.828
2.601 0.000 2.956
2.601 0.000 9.482
0.000 0.000 12.439
0.000 2.601 2.956
0.000 2.601 9.482
```